No. 1
Starting from a GGA+U-relaxed structure, the XRD peak list of NaNi4P3O12 was simulated for Cu Kα X-rays.
Kinematic intensities with the Lorentz-polarization factor, no thermal factor.

Principal peaks in the range 15 to 90 degrees two-theta, low angle first:
index, 2θ/deg, intensity
1 1 0, 15.03, 69.0
0 4 1, 25.44, 25.6
0 2 3, 29.44, 100.0
0 4 2, 29.88, 47.1
2 2 1, 31.66, 36.0
2 0 2, 33.23, 52.4
2 2 2, 35.39, 64.9
0 6 1, 37.17, 42.6
2 6 3, 54.19, 32.7
2 2 5, 55.71, 25.2

Cell and atoms:
```
data_NaNi4P3O12
_cell_length_a 6.4132
_cell_length_b 14.9611
_cell_length_c 9.9558
_cell_angle_alpha 90.00
_cell_angle_beta 90.00
_cell_angle_gamma 90.00
_symmetry_space_group_name_H-M 'C m c 21'
_symmetry_Int_Tables_number 36
loop_
_symmetry_equiv_pos_as_xyz
'x,y,z'
'-x,-y,z+1/2'
'-x,y,z'
'x,-y,z+1/2'
'x+1/2,y+1/2,z'
'-x+1/2,-y+1/2,z+1/2'
'-x+1/2,y+1/2,z'
'x+1/2,-y+1/2,z+1/2'
loop_
_atom_site_label
_atom_site_fract_x
_atom_site_fract_y
_atom_site_fract_z
_atom_site_occupancy
Na1 0.0000 0.0270 0.0000 1
Ni1 0.0000 0.3706 0.3089 1
Ni2 0.0000 0.3741 0.6892 1
Ni3 0.2458 0.2997 0.9994 1
P1 0.0000 0.1860 0.2154 1
P2 0.0000 0.1860 0.7817 1
P3 0.0000 0.4768 0.9534 1
O1 0.0000 0.2164 0.3688 1
O2 0.0000 0.2157 0.6284 1
O3 0.0000 0.2795 0.8614 1
O4 0.0000 0.2801 0.1367 1
O5 0.0000 0.4243 0.5017 1
O6 0.0000 0.4878 0.7973 1
O7 0.1925 0.1339 0.1774 1
O8 0.1927 0.1336 0.8196 1
O9 0.2018 0.4295 0.0017 1
```

***

No. 2
Starting from a GGA+U-relaxed structure, the XRD peak list of LiMnBO3 was simulated for Cu Kα X-rays.
Kinematic intensities with the Lorentz-polarization factor, no thermal factor.

Principal peaks in the range 15 to 90 degrees two-theta, low angle first:
index, 2θ/deg, intensity
1 -1 0, 20.36, 77.7
1 0 -1, 20.60, 20.3
1 0 0, 22.00, 33.2
0 1 -1, 22.53, 59.1
0 0 2, 33.29, 100.0
1 1 -1, 33.91, 32.0
1 -2 0, 34.22, 26.3
-2 1 1, 34.56, 28.3
2 0 -1, 39.86, 26.6
0 2 0, 40.69, 56.2

Cell and atoms:
```
data_LiMnBO3
_cell_length_a 5.1968
_cell_length_b 5.2424
_cell_length_c 6.0506
_cell_angle_alpha 90.67
_cell_angle_beta 113.16
_cell_angle_gamma 119.08
_symmetry_space_group_name_H-M 'P -1'
_symmetry_Int_Tables_number 2
loop_
_symmetry_equiv_pos_as_xyz
'x,y,z'
'-x,-y,-z'
loop_
_atom_site_label
_atom_site_fract_x
_atom_site_fract_y
_atom_site_fract_z
_atom_site_occupancy
Li1 0.0631 0.1308 0.3280 1
Mn1 0.3390 0.7517 0.2347 1
B1 0.3079 0.5733 0.7370 1
O1 0.1247 0.6319 0.8258 1
O2 0.2529 0.2865 0.7019 1
O3 0.4663 0.1976 0.3243 1
```

***

No. 3
Starting from a GGA+U-relaxed structure, the XRD peak list of Li9Mn2Co5O16 was simulated for Cu Kα X-rays.
Kinematic intensities with the Lorentz-polarization factor, no thermal factor.

Principal peaks in the range 15 to 90 degrees two-theta, low angle first:
index, 2θ/deg, intensity
2 0 0, 18.32, 100.0
2 0 -4, 34.88, 16.4
0 1 2, 36.35, 24.8
0 0 4, 37.10, 8.1
2 1 -2, 37.69, 7.2
4 0 -4, 42.14, 30.4
2 1 2, 44.10, 52.8
4 1 -2, 47.48, 9.6
4 1 2, 58.02, 9.5
6 1 -2, 62.64, 30.0

Cell and atoms:
```
data_Li9Mn2Co5O16
_cell_length_a 10.3885
_cell_length_b 2.8727
_cell_length_c 10.4028
_cell_angle_alpha 90.00
_cell_angle_beta 111.19
_cell_angle_gamma 90.00
_symmetry_space_group_name_H-M 'P 1 2/m 1'
_symmetry_Int_Tables_number 10
loop_
_symmetry_equiv_pos_as_xyz
'x,y,z'
'-x,-y,-z'
'-x,y,-z'
'x,-y,z'
loop_
_atom_site_label
_atom_site_fract_x
_atom_site_fract_y
_atom_site_fract_z
_atom_site_occupancy
Li1 0.0000 0.0000 0.0000 1
Li2 0.2401 0.0000 0.2473 1
Li3 0.2424 0.0000 0.7505 1
Li4 0.2425 0.5000 0.9998 1
Li5 0.2499 0.5000 0.4985 1
Mn1 0.4995 0.5000 0.2493 1
Co1 0.0000 0.0000 0.5000 1
Co2 0.0046 0.5000 0.2395 1
Co3 0.5000 0.0000 0.0000 1
Co4 0.5000 0.0000 0.5000 1
O1 0.1130 0.0000 0.3755 1
O2 0.1132 0.5000 0.6256 1
O3 0.1151 0.5000 0.1396 1
O4 0.1189 0.0000 0.8640 1
O5 0.3834 0.0000 0.1399 1
O6 0.3840 0.0000 0.6417 1
O7 0.3894 0.5000 0.3912 1
O8 0.3900 0.5000 0.8917 1
```